(1)
# CaCd2SnHg4
Calculated powder XRD pattern, a wavelength of 1.5418 Å. Input: a structure optimized by DFT (GGA-PBE).
Intensities are scaled so that the largest is 100.

Peak list (12 most intense, 2θ from 5° to 70°, in order of falling intensity)
d = 2.722 Å, 2θ 32.9, rel. 100.0
d = 2.432 Å, 2θ 37.0, rel. 60.2
d = 2.953 Å, 2θ 30.3, rel. 58.3
d = 2.154 Å, 2θ 41.9, rel. 55.9
d = 6.058 Å, 2θ 14.6, rel. 48.3
d = 4.039 Å, 2θ 22.0, rel. 38.1
d = 1.610 Å, 2θ 57.2, rel. 26.0
d = 1.896 Å, 2θ 48.0, rel. 25.5
d = 2.423 Å, 2θ 37.1, rel. 22.9
d = 1.901 Å, 2θ 47.9, rel. 21.8
d = 1.356 Å, 2θ 69.3, rel. 21.4
d = 1.523 Å, 2θ 60.8, rel. 18.7

Cell and atoms:
a = 4.308 Å, b = 4.308 Å, c = 12.116 Å
α = 90.00°, β = 90.00°, γ = 90.00°
Atoms (fractional coordinates):
Ca (0.000, 0.000, 0.000)
Cd (0.500, 0.500, 0.382)
Cd (0.500, 0.500, 0.618)
Sn (0.000, 0.000, 0.500)
Hg (0.000, 0.500, 0.197)
Hg (0.000, 0.500, 0.803)
Hg (0.500, 0.000, 0.197)
Hg (0.500, 0.000, 0.803)


(2)
# Ca3Tl2Cd2Hg4
Calculated powder XRD pattern, a wavelength of 1.5418 Å. Input: a structure optimized by DFT (GGA-PBE).
Intensities are scaled so that the largest is 100.

Peak list (12 most intense, 2θ from 5° to 70°, in order of falling intensity)
d = 2.519 Å, 2θ 35.6, rel. 100.0
d = 2.038 Å, 2θ 44.4, rel. 68.0
d = 4.364 Å, 2θ 20.4, rel. 55.9
d = 2.714 Å, 2θ 33.0, rel. 55.5
d = 3.467 Å, 2θ 25.7, rel. 41.6
d = 1.454 Å, 2θ 64.0, rel. 25.4
d = 2.341 Å, 2θ 38.5, rel. 18.7
d = 1.847 Å, 2θ 49.4, rel. 17.9
d = 1.489 Å, 2θ 62.3, rel. 17.7
d = 1.428 Å, 2θ 65.3, rel. 13.7
d = 4.162 Å, 2θ 21.3, rel. 10.2
d = 3.173 Å, 2θ 28.1, rel. 9.9

Cell and atoms:
a = 5.039 Å, b = 5.039 Å, c = 13.866 Å
α = 90.00°, β = 90.00°, γ = 120.00°
Atoms (fractional coordinates):
Ca (0.000, 0.000, 0.000)
Ca (0.000, 0.000, 0.276)
Ca (0.000, 0.000, 0.724)
Tl (0.333, 0.667, 0.141)
Tl (0.667, 0.333, 0.859)
Cd (0.333, 0.667, 0.580)
Cd (0.667, 0.333, 0.420)
Hg (0.333, 0.667, 0.371)
Hg (0.333, 0.667, 0.881)
Hg (0.667, 0.333, 0.119)
Hg (0.667, 0.333, 0.629)


(3)
# CaCdHgW2
Calculated powder XRD pattern, a wavelength of 1.5418 Å. Input: a structure optimized by DFT (GGA-PBE).
Intensities are scaled so that the largest is 100.

Peak list (12 most intense, 2θ from 5° to 70°, in order of falling intensity)
d = 2.557 Å, 2θ 35.1, rel. 100.0
d = 5.178 Å, 2θ 17.1, rel. 88.5
d = 5.114 Å, 2θ 17.3, rel. 78.8
d = 1.819 Å, 2θ 50.1, rel. 72.7
d = 2.965 Å, 2θ 30.1, rel. 58.9
d = 2.589 Å, 2θ 34.6, rel. 51.8
d = 2.293 Å, 2θ 39.3, rel. 47.0
d = 1.482 Å, 2θ 62.7, rel. 37.1
d = 1.808 Å, 2θ 50.5, rel. 35.7
d = 1.707 Å, 2θ 53.7, rel. 24.1
d = 2.310 Å, 2θ 39.0, rel. 21.8
d = 2.287 Å, 2θ 39.4, rel. 21.2

Cell and atoms:
a = 5.114 Å, b = 5.114 Å, c = 5.178 Å
α = 90.00°, β = 90.00°, γ = 90.00°
Atoms (fractional coordinates):
Ca (0.000, 0.000, 0.000)
Cd (0.500, 0.500, 0.000)
Hg (0.500, 0.500, 0.500)
W (0.000, 0.500, 0.500)
W (0.500, 0.000, 0.500)


(4)
# CaZnCdHg2
Calculated powder XRD pattern, a wavelength of 1.5418 Å. Input: a structure optimized by DFT (GGA-PBE).
Intensities are scaled so that the largest is 100.

Peak list (12 most intense, 2θ from 5° to 70°, in order of falling intensity)
d = 2.650 Å, 2θ 33.8, rel. 100.0
d = 4.164 Å, 2θ 21.3, rel. 50.8
d = 2.855 Å, 2θ 31.3, rel. 30.4
d = 2.082 Å, 2θ 43.5, rel. 26.1
d = 2.278 Å, 2θ 39.6, rel. 24.1
d = 1.606 Å, 2θ 57.4, rel. 21.9
d = 3.043 Å, 2θ 29.3, rel. 19.0
d = 1.912 Å, 2θ 47.6, rel. 17.1
d = 3.561 Å, 2θ 25.0, rel. 10.9
d = 1.671 Å, 2θ 55.0, rel. 10.7
d = 2.783 Å, 2θ 32.2, rel. 10.5
d = 2.196 Å, 2θ 41.1, rel. 10.2

Cell and atoms:
a = 5.709 Å, b = 6.872 Å, c = 6.087 Å
α = 90.00°, β = 90.00°, γ = 90.00°
Atoms (fractional coordinates):
Ca (0.250, 0.000, 0.245)
Ca (0.750, 0.000, 0.755)
Zn (0.000, 0.500, 0.000)
Zn (0.500, 0.500, 0.000)
Cd (0.250, 0.500, 0.387)
Cd (0.750, 0.500, 0.613)
Hg (0.250, 0.219, 0.750)
Hg (0.250, 0.781, 0.750)
Hg (0.750, 0.219, 0.250)
Hg (0.750, 0.781, 0.250)


(5)
# Ca2Ho2Cd15
Calculated powder XRD pattern, a wavelength of 1.5418 Å. Input: a structure optimized by DFT (GGA-PBE).
Intensities are scaled so that the largest is 100.

Peak list (12 most intense, 2θ from 5° to 70°, in order of falling intensity)
d = 2.280 Å, 2θ 39.5, rel. 100.0
d = 2.561 Å, 2θ 35.0, rel. 78.2
d = 2.628 Å, 2θ 34.1, rel. 71.3
d = 2.505 Å, 2θ 35.8, rel. 59.1
d = 7.682 Å, 2θ 11.5, rel. 48.2
d = 2.412 Å, 2θ 37.3, rel. 44.5
d = 2.991 Å, 2θ 29.9, rel. 40.1
d = 2.893 Å, 2θ 30.9, rel. 28.1
d = 2.751 Å, 2θ 32.5, rel. 23.8
d = 1.447 Å, 2θ 64.4, rel. 23.2
d = 1.469 Å, 2θ 63.3, rel. 18.9
d = 1.549 Å, 2θ 59.7, rel. 17.5

Cell and atoms:
a = 7.985 Å, b = 7.985 Å, c = 7.985 Å
α = 77.74°, β = 77.74°, γ = 77.74°
Atoms (fractional coordinates):
Ca (0.175, 0.175, 0.175)
Ca (0.825, 0.825, 0.825)
Ho (0.404, 0.404, 0.404)
Ho (0.596, 0.596, 0.596)
Cd (0.000, 0.500, 0.500)
Cd (0.131, 0.131, 0.645)
Cd (0.131, 0.645, 0.131)
Cd (0.204, 0.500, 0.796)
Cd (0.204, 0.796, 0.500)
Cd (0.355, 0.869, 0.869)
Cd (0.500, 0.000, 0.500)
Cd (0.500, 0.204, 0.796)
Cd (0.500, 0.500, 0.000)
Cd (0.500, 0.796, 0.204)
Cd (0.645, 0.131, 0.131)
Cd (0.796, 0.204, 0.500)
Cd (0.796, 0.500, 0.204)
Cd (0.869, 0.355, 0.869)
Cd (0.869, 0.869, 0.355)


(6)
# CaHo2Cd6
Calculated powder XRD pattern, a wavelength of 1.5418 Å. Input: a structure optimized by DFT (GGA-PBE).
Intensities are scaled so that the largest is 100.

Peak list (12 most intense, 2θ from 5° to 70°, in order of falling intensity)
d = 2.699 Å, 2θ 33.2, rel. 100.0
d = 2.492 Å, 2θ 36.0, rel. 88.0
d = 1.831 Å, 2θ 49.8, rel. 31.2
d = 1.476 Å, 2θ 63.0, rel. 31.2
d = 1.421 Å, 2θ 65.7, rel. 28.9
d = 7.477 Å, 2θ 11.8, rel. 16.0
d = 1.439 Å, 2θ 64.8, rel. 15.1
d = 1.729 Å, 2θ 53.0, rel. 9.4
d = 2.022 Å, 2θ 44.8, rel. 8.5
d = 3.458 Å, 2θ 25.8, rel. 6.7
d = 3.139 Å, 2θ 28.4, rel. 3.9
d = 2.188 Å, 2θ 41.3, rel. 3.3

Cell and atoms:
a = 8.633 Å, b = 8.633 Å, c = 3.458 Å
α = 90.00°, β = 90.00°, γ = 120.00°
Atoms (fractional coordinates):
Ca (0.000, 0.000, 0.000)
Ho (0.333, 0.667, 0.000)
Ho (0.667, 0.333, 0.000)
Cd (0.000, 0.335, 0.500)
Cd (0.000, 0.665, 0.500)
Cd (0.335, 0.000, 0.500)
Cd (0.335, 0.335, 0.500)
Cd (0.665, 0.000, 0.500)
Cd (0.665, 0.665, 0.500)


Please write out number 3 again, unchanged.
# CaCdHgW2
Calculated powder XRD pattern, a wavelength of 1.5418 Å. Input: a structure optimized by DFT (GGA-PBE).
Intensities are scaled so that the largest is 100.

Peak list (12 most intense, 2θ from 5° to 70°, in order of falling intensity)
d = 2.557 Å, 2θ 35.1, rel. 100.0
d = 5.178 Å, 2θ 17.1, rel. 88.5
d = 5.114 Å, 2θ 17.3, rel. 78.8
d = 1.819 Å, 2θ 50.1, rel. 72.7
d = 2.965 Å, 2θ 30.1, rel. 58.9
d = 2.589 Å, 2θ 34.6, rel. 51.8
d = 2.293 Å, 2θ 39.3, rel. 47.0
d = 1.482 Å, 2θ 62.7, rel. 37.1
d = 1.808 Å, 2θ 50.5, rel. 35.7
d = 1.707 Å, 2θ 53.7, rel. 24.1
d = 2.310 Å, 2θ 39.0, rel. 21.8
d = 2.287 Å, 2θ 39.4, rel. 21.2

Cell and atoms:
a = 5.114 Å, b = 5.114 Å, c = 5.178 Å
α = 90.00°, β = 90.00°, γ = 90.00°
Atoms (fractional coordinates):
Ca (0.000, 0.000, 0.000)
Cd (0.500, 0.500, 0.000)
Hg (0.500, 0.500, 0.500)
W (0.000, 0.500, 0.500)
W (0.500, 0.000, 0.500)


Number 3 is which compound?
CaCdHgW2